Diffraction record for LaTiNO2. The X-ray diffraction stick pattern is simulated, not measured: it uses DFT lattice parameters and positions (PBE) and Cu Kα (weighted mean of Kα1 and Kα2).
Peak positions follow from Bragg's law for the DFT cell and can differ from measured ones.

Atomic structure:
Unit cell a=5.6130 b=5.6130 c=5.6130 alpha=120.72 beta=89.35 gamma=120.03
Sites, in units of the cell vectors:
1 La 0.2522 0.0022 0.2500
2 La 0.7478 0.9978 0.7500
3 Ti 0.0000 0.5000 0.5000
4 Ti 0.5000 0.5000 0.0000
5 N 0.1801 0.4301 0.7500
6 N 0.8199 0.5699 0.2500
7 O 0.2873 0.0000 0.7873
8 O 0.2873 0.5000 0.2873
9 O 0.7127 0.0000 0.2127
10 O 0.7127 0.5000 0.7127

Largest 6 diffraction maxima, in order of rising 2θ, 2θ = 10–80°:
2θ/deg, d [Å], I/Imax
22.5, 3.946, 18
31.9, 2.806, 100
32.2, 2.776, 18
46.0, 1.973, 24
56.8, 1.620, 25
66.7, 1.403, 17